The following is a calculated powder diffraction line list of CrGaCuO4. It was derived from the PBE+U geometry in Alexandria, using Cu Kα (weighted mean of Kα1 and Kα2).
No peak broadening, texture or thermal motion is included.

Principal peaks in the range 2θ = 15–90°, sorted by position:
| (hkl) | d/Å | I (rel.) |
| --- | --- | --- |
| 0 1 1 | 4.876 | 13.8 |
| 0 2 0 | 2.986 | 49.1 |
| 0 1 3 | 2.554 | 49.9 |
| 2 1 1 | 2.543 | 100.0 |
| 2 0 2 | 2.438 | 14.6 |
| 2 2 0 | 2.107 | 16.0 |
| 3 1 2 | 1.722 | 10.9 |
| 0 1 5 | 1.631 | 15.9 |
| 2 3 1 | 1.623 | 30.9 |
| 2 2 4 | 1.494 | 43.1 |
| 4 0 0 | 1.490 | 21.4 |
| 0 5 3 | 1.098 | 11.7 |

Structural model:
a = 5.959 Å, b = 5.961 Å, c = 8.479 Å
α = 90.00°, β = 90.00°, γ = 90.00°
Space group Imma (No. 74)
One atom of each set of equivalent atoms:
Cr1 0.000 0.000 0.000 x4
Ga1 0.250 0.250 0.250 x4
Cu1 0.000 0.250 0.625 x4
O1 0.000 0.023 0.238 x8
O2 0.227 0.250 0.013 x8